No. 1
This entry pairs a crystal structure of K2FeCuC12 with its calculated XRD peak list. Radiation: copper Kα. Structure: a DFT-relaxed cell (GGA-PBE, Alexandria).

Largest 6 diffraction maxima, low angle first, 2θ from 10° to 90°:
2θ = 17.56°, 5.051 Å, intensity 386; 2θ = 24.93°, 3.571 Å, intensity 1000; 2θ = 35.55°, 2.525 Å, intensity 463; 2θ = 43.91°, 2.062 Å, intensity 269; 2θ = 57.72°, 1.597 Å, intensity 272; 2θ = 69.66°, 1.350 Å, intensity 216

Crystal structure
a = 10.101 Å, b = 10.101 Å, c = 10.101 Å
α = 90.00°, β = 90.00°, γ = 90.00°
Space group Fm-3m (No. 225)
Symmetry-distinct sites (fractional):
K 0.250 0.250 0.250
Fe 0.000 0.000 0.000
Cu 0.000 0.000 0.500
C 0.000 0.000 0.189
C 0.000 0.000 0.312

=====

No. 2
This entry pairs a crystal structure of Zn5Ag2Au5 with its calculated XRD peak list. Radiation: copper Kα. Structure: a DFT-relaxed cell (GGA-PBE, Alexandria).

Largest 6 diffraction maxima, low angle first, 2θ from 10° to 90°:
2θ = 38.21°, 2.356 Å, intensity 1000; 2θ = 38.78°, 2.322 Å, intensity 864; 2θ = 42.83°, 2.112 Å, intensity 336; 2θ = 44.63°, 2.030 Å, intensity 282; 2θ = 46.72°, 1.944 Å, intensity 282; 2θ = 65.23°, 1.430 Å, intensity 200

Crystal structure
a = 12.185 Å, b = 3.888 Å, c = 9.457 Å
α = 90.00°, β = 116.72°, γ = 90.00°
Space group C2/m (No. 12)
Symmetry-distinct sites (fractional):
Zn 0.000 0.000 0.000
Zn 0.161 0.000 0.500
Zn 0.245 0.500 0.762
Ag 0.081 0.000 0.749
Au 0.000 0.500 0.500
Au 0.109 0.500 0.271
Au 0.157 0.500 0.997

=====

No. 3
This entry pairs a crystal structure of Na3Tl7Cd2 with its calculated XRD peak list. Radiation: copper Kα. Structure: a DFT-relaxed cell (GGA-PBE, Alexandria).

Largest 6 diffraction maxima, low angle first, 2θ from 10° to 90°:
2θ = 31.78°, 2.815 Å, intensity 990; 2θ = 32.13°, 2.786 Å, intensity 1000; 2θ = 32.43°, 2.760 Å, intensity 957; 2θ = 32.98°, 2.716 Å, intensity 906; 2θ = 33.53°, 2.672 Å, intensity 917; 2θ = 34.37°, 2.609 Å, intensity 746

Crystal structure
a = 6.104 Å, b = 6.302 Å, c = 9.922 Å
α = 91.39°, β = 93.31°, γ = 114.71°
Space group P-1 (No. 2)
Symmetry-distinct sites (fractional):
Na 0.000 0.000 0.000
Na 0.153 0.157 0.353
Tl 0.073 0.573 0.171
Tl 0.282 0.720 0.500
Tl 0.426 0.928 0.828
Tl 0.500 0.500 0.000
Cd 0.339 0.340 0.685

=====

No. 4
This entry pairs a crystal structure of Pm3Sm2Y6Pu with its calculated XRD peak list. Radiation: copper Kα. Structure: a DFT-relaxed cell (GGA-PBE, Alexandria).

Largest 6 diffraction maxima, low angle first, 2θ from 10° to 90°:
2θ = 30.49°, 2.931 Å, intensity 1000; 2θ = 30.76°, 2.906 Å, intensity 325; 2θ = 35.44°, 2.533 Å, intensity 667; 2θ = 50.81°, 1.797 Å, intensity 238; 2θ = 51.16°, 1.785 Å, intensity 232; 2θ = 60.58°, 1.528 Å, intensity 279

Crystal structure
a = 6.223 Å, b = 10.785 Å, c = 11.809 Å
α = 90.00°, β = 100.13°, γ = 90.00°
Space group C2/m (No. 12)
Symmetry-distinct sites (fractional):
Pm 0.000 0.000 0.000
Pm 0.000 0.333 0.000
Sm 0.000 0.167 0.500
Y 0.247 0.335 0.747
Y 0.247 0.500 0.253
Pu 0.000 0.500 0.500

=====

- Which formula does entry 3 have?
  Na3Tl7Cd2